Record 1
Starting from a cell relaxed with PBE, the powder X-ray diffraction pattern of Al4AgCSe2 was calculated for Cu Kα (weighted mean of Kα1 and Kα2).

Largest 8 diffraction maxima, most intense first, 10° ≤ 2θ ≤ 90°:
| (hkl) | Position (°2θ) | Rel. int. |
| --- | --- | --- |
| 1 1 2 | 28.5 | 100 |
| 2 0 4 | 45.8 | 33 |
| 1 3 2 | 59.0 | 26 |
| 1 1 6 | 50.4 | 16 |
| 2 0 2 | 38.0 | 14 |
| 3 1 6 | 74.1 | 14 |
| 2 1 1 | 40.1 | 13 |
| 2 2 0 | 50.5 | 12 |

Cell and atoms:
```
data_Al4AgCSe2
_space_group_name_H-M_alt 'I -4'
_space_group_IT_number 82
_space_group_name_Hall 'I -4'
_cell_length_a 5.112
_cell_length_b 5.112
_cell_length_c 12.554
_cell_angle_alpha 90.00
_cell_angle_beta 90.00
_cell_angle_gamma 90.00
loop_
_atom_site_label
_atom_site_type_symbol
_atom_site_fract_x
_atom_site_fract_y
_atom_site_fract_z
_atom_site_occupancy
Al1 Al 0.176 0.233 0.398 1
Ag1 Ag 0.000 0.500 0.250 1
C1 C 0.000 0.000 0.500 1
Se1 Se 0.000 0.000 0.000 1
Se2 Se 0.000 0.500 0.750 1
```

=====

Record 2
Starting from a cell relaxed with PBE, the powder X-ray diffraction pattern of InTcO3 was calculated for Cu Kα (weighted mean of Kα1 and Kα2).

Largest 8 diffraction maxima, most intense first, 10° ≤ 2θ ≤ 90°:
| (hkl) | Position (°2θ) | Rel. int. |
| --- | --- | --- |
| 0 1 1 | 25.1 | 100 |
| 1 1 -1 | 30.0 | 76 |
| 0 1 -1 | 21.5 | 60 |
| 1 2 0 | 43.8 | 35 |
| -1 1 1 | 26.1 | 35 |
| -2 1 1 | 38.1 | 31 |
| 2 -2 1 | 46.4 | 31 |
| 1 -1 1 | 27.0 | 29 |

Cell and atoms:
```
data_InTcO3
_space_group_name_H-M_alt 'P -1'
_space_group_IT_number 2
_space_group_name_Hall '-P 1'
_cell_length_a 5.066
_cell_length_b 5.584
_cell_length_c 5.599
_cell_angle_alpha 96.13
_cell_angle_beta 98.03
_cell_angle_gamma 106.44
loop_
_atom_site_label
_atom_site_type_symbol
_atom_site_fract_x
_atom_site_fract_y
_atom_site_fract_z
_atom_site_occupancy
In1 In 0.239 0.152 0.429 1
Tc1 Tc 0.310 0.585 0.036 1
O1 O 0.032 0.319 0.125 1
O2 O 0.419 0.536 0.721 1
O3 O 0.429 0.880 0.261 1
```

=====

Record 3
Starting from a cell relaxed with PBE, the powder X-ray diffraction pattern of Na2Ta4O11 was calculated for Cu Kα (weighted mean of Kα1 and Kα2).

Largest 8 diffraction maxima, most intense first, 10° ≤ 2θ ≤ 90°:
| (hkl) | Position (°2θ) | Rel. int. |
| --- | --- | --- |
| 1 1 3 | 29.7 | 100 |
| 1 1 6 | 32.4 | 82 |
| 0 0 6 | 14.5 | 55 |
| 0 1 2 | 17.2 | 51 |
| 0 0 12 | 29.2 | 51 |
| 0 3 12 | 59.9 | 34 |
| 3 0 0 | 51.0 | 34 |
| 1 1 9 | 36.4 | 34 |

Cell and atoms:
```
data_Na2Ta4O11
_space_group_name_H-M_alt 'R -3 c'
_space_group_IT_number 167
_space_group_name_Hall '-R 3 2"c'
_cell_length_a 6.2046
_cell_length_b 6.2046
_cell_length_c 36.6403
_cell_angle_alpha 90.00
_cell_angle_beta 90.00
_cell_angle_gamma 120.00
loop_
_atom_site_label
_atom_site_type_symbol
_atom_site_fract_x
_atom_site_fract_y
_atom_site_fract_z
_atom_site_occupancy
Na1 Na 0.0000 0.0000 0.1674 1
Ta1 Ta 0.0000 0.0000 0.0000 1
Ta2 Ta 0.0000 0.3652 0.2500 1
O1 O 0.0000 0.0000 0.0946 1
O2 O 0.0000 0.2500 0.7500 1
O3 O 0.0275 0.2789 0.5303 1
```

=====

Record 4
Starting from a cell relaxed with PBE, the powder X-ray diffraction pattern of LiMgAg2 was calculated for Cu Kα (weighted mean of Kα1 and Kα2).

Largest 8 diffraction maxima, most intense first, 10° ≤ 2θ ≤ 90°:
| (hkl) | Position (°2θ) | Rel. int. |
| --- | --- | --- |
| 2 2 0 | 39.0 | 100 |
| 1 1 1 | 23.6 | 73 |
| 3 1 1 | 46.1 | 35 |
| 4 2 2 | 70.7 | 32 |
| 4 0 0 | 56.4 | 16 |
| 3 3 1 | 61.9 | 14 |
| 5 3 1 | 88.6 | 11 |
| 5 1 1 | 75.7 | 10 |

Cell and atoms:
```
data_LiMgAg2
_space_group_name_H-M_alt 'F -4 3 m'
_space_group_IT_number 216
_space_group_name_Hall 'F -4 2 3'
_cell_length_a 6.530
_cell_length_b 6.530
_cell_length_c 6.530
_cell_angle_alpha 90.00
_cell_angle_beta 90.00
_cell_angle_gamma 90.00
loop_
_atom_site_label
_atom_site_type_symbol
_atom_site_fract_x
_atom_site_fract_y
_atom_site_fract_z
_atom_site_occupancy
Li1 Li 0.000 0.000 0.000 1
Mg1 Mg 0.250 0.250 0.250 1
Ag1 Ag 0.000 0.000 0.500 1
Ag2 Ag 0.250 0.250 0.750 1
```